For Li4MnTe3O12, a cell relaxed with GGA+U gives the computed X-ray diffraction stick pattern in this record (Cu Ka).
Peak positions follow from Bragg's law for the DFT cell and can differ from measured ones.

Structure:
```
data_Li4MnTe3O12
_symmetry_space_group_name_H-M 'P 1'
_symmetry_Int_Tables_number 1
_cell_length_a 5.0292
_cell_length_b 8.8251
_cell_length_c 5.1633
_cell_angle_alpha 90.00
_cell_angle_beta 93.29
_cell_angle_gamma 90.00
loop_
_symmetry_equiv_pos_as_xyz
'x,y,z'
loop_
_atom_site_label
_atom_site_fract_x
_atom_site_fract_y
_atom_site_fract_z
_atom_site_occupancy
Li1 0.0000 0.0000 0.0000 1
Li2 0.0000 0.3080 0.5000 1
Li3 0.5000 0.4283 0.5000 1
Li4 0.5000 0.8231 0.0000 1
Mn1 0.5000 0.2341 0.0000 1
Te1 0.0000 0.5262 0.0000 1
Te2 0.0000 0.7305 0.5000 1
Te3 0.5000 0.0572 0.5000 1
O1 0.2036 0.5501 0.3334 1
O2 0.2156 0.6892 0.8525 1
O3 0.2401 0.3816 0.8472 1
O4 0.2816 0.9092 0.3151 1
O5 0.2878 0.0790 0.8063 1
O6 0.3058 0.2246 0.3118 1
O7 0.6942 0.2246 0.6882 1
O8 0.7122 0.0790 0.1937 1
O9 0.7184 0.9092 0.6849 1
O10 0.7599 0.3816 0.1528 1
O11 0.7844 0.6892 0.1475 1
O12 0.7964 0.5501 0.6666 1
```

Largest 10 diffraction maxima, low angle first, 15 to 90 degrees two-theta:
| index | d [Å] | intensity |
| --- | --- | --- |
| 0 1 1 | 4.451 | 40 |
| 0 2 0 | 4.413 | 11 |
| 1 1 0 | 4.364 | 100 |
| 1 2 -1 | 2.837 | 36 |
| 1 2 1 | 2.741 | 32 |
| 0 3 1 | 2.555 | 18 |
| 1 1 -2 | 2.269 | 12 |
| 1 1 2 | 2.172 | 12 |
| 2 3 -1 | 1.817 | 13 |
| 2 3 1 | 1.766 | 14 |